Entry 1:
Simulated X-ray powder pattern
Compound: BaH2Br2O7
Radiation: λ = 1.5418 Å (Cu Kα)
Structure: a crystal structure in Alexandria, relaxed with GGA-PBE
Peak positions follow from Bragg's law for the DFT cell and can differ from measured ones.

Structural model:
Cell lengths 7.745, 7.745, 9.143 Å; angles 124.37, 124.37, 64.07 degrees
Positions (direct):
Ba  0.140  0.860  0.750
Ba  0.860  0.140  0.250
H  0.223  0.701  0.136
H  0.299  0.777  0.364
H  0.701  0.223  0.636
H  0.777  0.299  0.864
Br  0.288  0.335  0.313
Br  0.335  0.288  0.813
Br  0.665  0.712  0.187
Br  0.712  0.665  0.687
O  0.115  0.179  0.635
O  0.179  0.115  0.135
O  0.192  0.808  0.250
O  0.219  0.408  0.489
O  0.247  0.554  0.904
O  0.408  0.219  0.989
O  0.446  0.753  0.596
O  0.554  0.247  0.404
O  0.592  0.781  0.011
O  0.753  0.446  0.096
O  0.781  0.592  0.511
O  0.808  0.192  0.750
O  0.821  0.885  0.865
O  0.885  0.821  0.365

Most intense lines, 10° ≤ 2θ ≤ 90°, most intense first:
- 29.4°, I = 100
- 14.5°, I = 93
- 27.2°, I = 86
- 23.8°, I = 78
- 29.2°, I = 78
- 28.4°, I = 60
- 26.1°, I = 58
- 39.5°, I = 52
- 25.3°, I = 46
- 21.6°, I = 43

Entry 2:
Simulated X-ray powder pattern
Compound: CsMnSe2
Radiation: λ = 1.5418 Å (Cu Kα)
Structure: a crystal structure in Alexandria, relaxed with GGA-PBE
Peak positions follow from Bragg's law for the DFT cell and can differ from measured ones.

Structural model:
Cell lengths 7.638, 5.516, 7.641 Å; angles 90.00, 114.42, 90.00 degrees
Positions (direct):
Cs  0.000  0.000  0.000
Cs  0.363  0.500  0.637
Mn  0.776  0.251  0.413
Mn  0.776  0.749  0.413
Se  0.042  0.000  0.488
Se  0.516  0.000  0.367
Se  0.729  0.500  0.153
Se  0.851  0.500  0.679

Most intense lines, 10° ≤ 2θ ≤ 90°, most intense first:
- 30.4°, I = 100
- 12.7°, I = 59
- 28.5°, I = 50
- 20.6°, I = 42
- 23.4°, I = 38
- 49.7°, I = 25
- 21.2°, I = 24
- 32.5°, I = 21
- 21.5°, I = 20
- 53.8°, I = 19